This entry pairs a crystal structure of NdPaVO6 with its theoretical powder diffractogram. Radiation: copper Kα. Structure: a crystal structure in Alexandria, relaxed with GGA+U.
Kinematic intensities with the Lorentz-polarization factor, no thermal factor.

Structural model:
```
data_NdPaVO6
_chemical_formula_sum 'Nd1 Pa1 V1 O6'
_symmetry_space_group_name_H-M 'P 3 1 2'
_symmetry_Int_Tables_number 149
_symmetry_space_group_name_Hall 'P 3 2'
_cell_length_a 5.4838
_cell_length_b 5.4838
_cell_length_c 4.8150
_cell_angle_alpha 90.00
_cell_angle_beta 90.00
_cell_angle_gamma 120.00
loop_
_atom_site_label
_atom_site_type_symbol
_atom_site_fract_x
_atom_site_fract_y
_atom_site_fract_z
Nd1 Nd 0.0000 0.0000 0.0000
Pa1 Pa 0.6667 0.3333 0.5000
V1 V 0.3333 0.6667 0.0000
O1 O 0.0196 0.3840 0.2362
```

Main lines, in order of falling intensity (10 to 90 degrees two-theta):
2θ (°)  I/Imax  hkl
26.36  100  1 0 1
32.66  36  1 1 0
50.45  33  2 -1 2
42.45  29  2 0 1
54.56  28  2 1 1
18.68  20  1 0 0
58.29  12  3 0 0
74.72  11  4 -1 1
60.93  10  1 0 3
80.23  9  3 -1 3